TbNd2Th2: calculated powder diffractogram (Cu Kα, 1.54184 Å), based on a PBE-relaxed structure.
Lines closer than 0.1° are merged.

Peak list (10 most intense, 10 to 80 degrees two-theta, sorted by position)
d [Å], I/Imax
7.355, 58
2.952, 1000
2.942, 320
2.555, 669
1.809, 247
1.804, 230
1.541, 431
1.538, 133
1.476, 126
1.277, 74

Structure:
Cell: 3.6177 3.6177 44.1313 Å, 90.00 90.00 120.00°
Space group R-3m (No. 166, hexagonal axes)
Unique sites:
Tb 0.0000 0.0000 0.0000
Nd 0.0000 0.0000 0.2031
Th 0.0000 0.0000 0.3987



Tb2NdTh6: calculated powder diffractogram (Cu Kα, 1.54184 Å), based on a PBE-relaxed structure.
Lines closer than 0.1° are merged.

Peak list (10 most intense, 10 to 80 degrees two-theta, sorted by position)
d [Å], I/Imax
3.072, 539
3.012, 616
2.798, 814
2.673, 1000
2.540, 140
2.151, 390
1.774, 424
1.638, 303
1.528, 510
1.478, 168

Structure:
Cell: 3.5471 3.5471 27.1108 Å, 90.00 90.00 120.00°
Space group P-6m2 (No. 187)
Unique sites:
Tb 0.0000 0.0000 0.1696
Nd 0.3333 0.6667 0.5000
Th 0.0000 0.0000 0.3869
Th 0.3333 0.6667 0.0612
Th 0.3333 0.6667 0.2791



Tb7Nd2Th2: calculated powder diffractogram (Cu Kα, 1.54184 Å), based on a PBE-relaxed structure.
Lines closer than 0.1° are merged.

Peak list (10 most intense, 10 to 80 degrees two-theta, sorted by position)
d [Å], I/Imax
3.466, 253
2.948, 326
2.893, 502
2.811, 1000
2.789, 319
2.686, 470
2.645, 280
2.008, 211
1.843, 147
1.654, 158

Structure:
Cell: 11.1800 11.5710 6.1503 Å, 90.00 113.34 90.00°
Space group C2/m (No. 12)
Unique sites:
Tb 0.0000 0.0000 0.0000
Tb 0.1715 0.2387 0.1670
Tb 0.2441 0.0000 0.5801
Nd 0.0000 0.2158 0.5000
Th 0.0900 0.5000 0.8115



Tb3Nd2Th: calculated powder diffractogram (Cu Kα, 1.54184 Å), based on a PBE-relaxed structure.
Lines closer than 0.1° are merged.

Peak list (10 most intense, 10 to 80 degrees two-theta, sorted by position)
d [Å], I/Imax
8.146, 161
3.224, 459
2.972, 1000
2.715, 345
2.659, 563
2.468, 684
1.982, 131
1.702, 362
1.511, 266
1.477, 313

Structure:
Cell: 7.0201 16.2922 3.5516 Å, 90.00 90.00 90.00°
Space group Pnnm (No. 58)
Unique sites:
Tb 0.0000 0.0000 0.0000
Tb 0.2450 0.3491 0.0000
Nd 0.2493 0.1552 0.5000
Th 0.0000 0.5000 0.5000